Calculated powder diffraction line list of Ac5Tl2Os2 for Cu Kα, 1.54184 Å, from a GGA-PBE-relaxed structure.
Neutral-atom scattering factors, no anomalous dispersion.

Crystal structure
Cell: 17.7367 8.1546 8.2666 Å, 90.00 90.00 90.00°
Space group Cmce (No. 64)
Inequivalent atoms, fractional coordinates:
Ac 0.0000 0.0000 0.0000 [4 per cell]
Ac 0.1184 0.1789 0.3225 [16 per cell]
Tl 0.2220 0.0000 0.0000 [8 per cell]
Os 0.0000 0.1065 0.6138 [8 per cell]

Largest 10 diffraction maxima, low angle first, 10 to 90 degrees two-theta:
2theta, I (rel.), hkl
28.53, 51, 3 1 2
29.54, 100, 4 0 2
29.77, 80, 4 2 0
30.80, 52, 0 2 2
31.72, 73, 4 2 1
34.73, 42, 1 1 3
35.11, 82, 5 1 2
40.70, 29, 8 0 0
53.98, 31, 5 3 3
58.71, 26, 9 1 3



Calculated powder diffraction line list of Ac4Tl2Os for Cu Kα, 1.54184 Å, from a GGA-PBE-relaxed structure.
Neutral-atom scattering factors, no anomalous dispersion.

Crystal structure
Cell: 13.8107 4.4712 9.8026 Å, 90.00 122.06 90.00°
Space group C2/m (No. 12)
Inequivalent atoms, fractional coordinates:
Ac 0.0846 0.0000 0.3472 [4 per cell]
Ac 0.1569 0.5000 0.0537 [4 per cell]
Tl 0.1326 0.5000 0.6569 [4 per cell]
Os 0.0000 0.0000 0.0000 [2 per cell]

Largest 10 diffraction maxima, low angle first, 10 to 90 degrees two-theta:
2theta, I (rel.), hkl
26.37, 28, 4 0 -1
27.29, 86, 1 1 -2
27.85, 100, 3 1 -1
30.42, 99, 3 1 0
32.33, 60, 0 0 3
33.17, 32, 1 1 2
34.49, 41, 3 1 -3
40.34, 49, 0 2 0
44.30, 38, 3 1 2
52.62, 31, 0 2 3



Calculated powder diffraction line list of AcTmOs for Cu Kα, 1.54184 Å, from a GGA-PBE-relaxed structure.
Neutral-atom scattering factors, no anomalous dispersion.

Crystal structure
Cell: 6.5799 13.8965 7.3737 Å, 90.00 90.00 90.00°
Space group Cmce (No. 64)
Inequivalent atoms, fractional coordinates:
Ac 0.0000 0.1949 0.1043 [8 per cell]
Tm 0.2500 0.0292 0.7500 [8 per cell]
Os 0.0000 0.1055 0.4612 [8 per cell]

Largest 10 diffraction maxima, low angle first, 10 to 90 degrees two-theta:
2theta, I (rel.), hkl
19.17, 30, 1 1 1
28.44, 76, 0 4 1
30.05, 56, 2 2 0
32.47, 42, 2 2 1
33.93, 37, 1 3 2
35.50, 31, 0 4 2
36.61, 64, 2 0 2
37.17, 100, 1 5 1
38.88, 52, 0 2 3
54.75, 33, 3 5 1



Calculated powder diffraction line list of Ac6ZnOs2 for Cu Kα, 1.54184 Å, from a GGA-PBE-relaxed structure.
Neutral-atom scattering factors, no anomalous dispersion.

Crystal structure
Cell: 7.5880 7.5880 7.1657 Å, 90.00 90.00 120.00°
Space group P-31m (No. 162)
Inequivalent atoms, fractional coordinates:
Ac 0.0000 0.3511 0.2730 [6 per cell]
Zn 0.0000 0.0000 0.0000 [1 per cell]
Os 0.3333 0.6667 0.5000 [2 per cell]

Largest 10 diffraction maxima, low angle first, 10 to 90 degrees two-theta:
2theta, I (rel.), hkl
12.35, 18, 0 0 1
18.32, 14, 1 0 1
26.58, 100, 1 1 1
34.43, 50, 1 1 2
41.21, 36, 3 0 0
44.84, 27, 2 -1 3
49.72, 18, 4 -2 1
54.75, 13, 4 -2 2
66.50, 14, 4 1 1
67.55, 13, 3 0 4